[1]
Theoretical powder diffractogram
Compound: IrSeS
Radiation: Cu Kα (weighted mean of Kα1 and Kα2)
Structure: a crystal structure in OQMD, relaxed with GGA-PBE
Kinematic intensities with the Lorentz-polarization factor, no thermal factor.

Cell and atoms:
```
IrSeS
1.0
3.490 0.000 0.000
0.000 20.978 0.000
0.000 0.000 5.798
Ir Se S
4 4 4
Direct
0.000 0.000 0.000
0.000 0.500 0.500
0.500 0.000 0.409
0.500 0.500 0.909
0.500 0.067 0.779
0.500 0.433 0.279
0.500 0.567 0.279
0.500 0.933 0.779
0.000 0.072 0.317
0.000 0.428 0.817
0.000 0.572 0.817
0.000 0.928 0.317
```

Principal peaks in the range 10 to 90 degrees two-theta, low angle first:
2θ 16.91, I 100
2θ 30.19, I 84
2θ 32.57, I 80
2θ 36.91, I 98
2θ 40.43, I 53
2θ 42.72, I 88
2θ 49.59, I 47
2θ 54.44, I 32

[2]
Theoretical powder diffractogram
Compound: ZnIr2Se3S
Radiation: Cu Kα (weighted mean of Kα1 and Kα2)
Structure: a crystal structure in OQMD, relaxed with GGA-PBE
Kinematic intensities with the Lorentz-polarization factor, no thermal factor.

Cell and atoms:
```
ZnIr2Se3S
1.0
5.187 0.000 0.000
-0.124 5.872 0.000
-2.594 -2.731 4.913
Zn Ir Se S
1 2 3 1
Direct
0.000 0.000 0.000
0.427 0.471 0.957
0.815 0.284 0.574
0.413 0.882 0.281
0.561 0.615 0.705
0.858 0.390 0.256
0.143 0.056 0.704
```

Principal peaks in the range 10 to 90 degrees two-theta, low angle first:
2θ 17.28, I 74
2θ 17.93, I 61
2θ 19.26, I 39
2θ 28.58, I 84
2θ 29.22, I 76
2θ 29.65, I 59
2θ 29.76, I 100
2θ 47.26, I 69

[3]
Theoretical powder diffractogram
Compound: Sm7Ir2S2
Radiation: Cu Kα (weighted mean of Kα1 and Kα2)
Structure: a crystal structure in OQMD, relaxed with GGA-PBE
Kinematic intensities with the Lorentz-polarization factor, no thermal factor.

Cell and atoms:
```
Sm7Ir2S2
1.0
-1.974 7.698 4.645
1.974 -7.698 4.645
1.974 7.698 -4.645
Sm Ir S
7 2 2
Direct
0.000 0.000 0.000
0.293 0.412 0.881
0.300 0.621 0.679
0.531 0.412 0.119
0.612 0.250 0.362
0.887 0.250 0.638
0.943 0.621 0.321
0.165 0.924 0.241
0.684 0.924 0.759
0.253 0.753 0.500
0.665 0.665 0.000
```

Principal peaks in the range 10 to 90 degrees two-theta, low angle first:
2θ 11.50, I 43
2θ 30.27, I 44
2θ 30.59, I 26
2θ 33.81, I 27
2θ 33.93, I 100
2θ 34.56, I 33
2θ 38.77, I 34
2θ 45.97, I 25

[4]
Theoretical powder diffractogram
Compound: Sn8Ir2S
Radiation: Cu Kα (weighted mean of Kα1 and Kα2)
Structure: a crystal structure in OQMD, relaxed with GGA-PBE
Kinematic intensities with the Lorentz-polarization factor, no thermal factor.

Cell and atoms:
```
Sn8Ir2S
1.0
10.339 0.000 0.000
0.000 10.339 0.000
0.000 0.000 9.946
Sn Ir S
32 8 4
Direct
0.000 0.000 0.188
0.000 0.000 0.812
0.022 0.301 0.320
0.022 0.301 0.680
0.106 0.894 0.500
0.169 0.169 0.000
0.169 0.831 0.000
0.199 0.522 0.180
0.199 0.522 0.820
0.301 0.022 0.320
0.301 0.022 0.680
0.331 0.331 0.500
0.331 0.669 0.500
0.394 0.394 0.000
0.478 0.801 0.180
0.478 0.801 0.820
0.500 0.500 0.312
0.500 0.500 0.688
0.522 0.199 0.180
0.522 0.199 0.820
0.606 0.606 0.000
0.669 0.331 0.500
0.669 0.669 0.500
0.699 0.978 0.320
0.699 0.978 0.680
0.801 0.478 0.180
0.801 0.478 0.820
0.831 0.169 0.000
0.831 0.831 0.000
0.894 0.106 0.500
0.978 0.699 0.320
0.978 0.699 0.680
0.232 0.768 0.259
0.232 0.768 0.741
0.268 0.268 0.241
0.268 0.268 0.759
0.732 0.732 0.241
0.732 0.732 0.759
0.768 0.232 0.259
0.768 0.232 0.741
0.000 0.500 0.000
0.000 0.500 0.500
0.500 0.000 0.000
0.500 0.000 0.500
```

Principal peaks in the range 10 to 90 degrees two-theta, low angle first:
2θ 17.15, I 43
2θ 17.84, I 36
2θ 27.39, I 39
2θ 32.78, I 57
2θ 33.25, I 100
2θ 36.89, I 52
2θ 39.28, I 92
2θ 40.26, I 50